1.
The following is a simulated powder XRD pattern of NdScFe. It was derived from a DFT-relaxed cell (PBE, Alexandria), using λ = 1.5418 Å (Cu Kα).
Neutral-atom scattering factors, no anomalous dispersion.

Crystal structure
```
data_NdScFe
_space_group_name_H-M_alt 'P 1'
_space_group_IT_number 1
_space_group_name_Hall 'P 1'
_cell_length_a 6.8912
_cell_length_b 6.8912
_cell_length_c 7.0358
_cell_angle_alpha 90.00
_cell_angle_beta 90.00
_cell_angle_gamma 122.77
loop_
_atom_site_label
_atom_site_type_symbol
_atom_site_fract_x
_atom_site_fract_y
_atom_site_fract_z
_atom_site_occupancy
Nd1 Nd 0.1950 0.8050 0.8893 1
Nd2 Nd 0.3050 0.6950 0.3893 1
Nd3 Nd 0.6950 0.3050 0.6107 1
Nd4 Nd 0.8050 0.1950 0.1107 1
Sc1 Sc 0.2123 0.2877 0.7500 1
Sc2 Sc 0.2877 0.2123 0.2500 1
Sc3 Sc 0.7123 0.7877 0.7500 1
Sc4 Sc 0.7877 0.7123 0.2500 1
Fe1 Fe 0.0893 0.9107 0.5374 1
Fe2 Fe 0.4107 0.5893 0.0374 1
Fe3 Fe 0.5893 0.4107 0.9626 1
Fe4 Fe 0.9107 0.0893 0.4626 1
```

Largest 10 diffraction maxima, by intensity, 2θ = 10–90°:
29.71°, I 100
41.78°, I 74
28.88°, I 60
27.02°, I 56
30.86°, I 50
33.45°, I 43
36.53°, I 40
32.21°, I 39
37.36°, I 29
58.17°, I 27

=====

2.
The following is a simulated powder XRD pattern of Cs2CrCuS4. It was derived from a DFT-relaxed cell (PBE, Alexandria), using λ = 1.5418 Å (Cu Kα).
Neutral-atom scattering factors, no anomalous dispersion.

Crystal structure
```
data_Cs2CrCuS4
_space_group_name_H-M_alt 'P 1'
_space_group_IT_number 1
_space_group_name_Hall 'P 1'
_cell_length_a 14.2439
_cell_length_b 12.6589
_cell_length_c 7.5973
_cell_angle_alpha 85.50
_cell_angle_beta 62.37
_cell_angle_gamma 32.12
loop_
_atom_site_label
_atom_site_type_symbol
_atom_site_fract_x
_atom_site_fract_y
_atom_site_fract_z
_atom_site_occupancy
Cs1 Cs 0.0513 0.0513 0.6987 1
Cs2 Cs 0.3013 0.3013 0.9487 1
Cs3 Cs 0.6987 0.6987 0.0513 1
Cs4 Cs 0.9487 0.9487 0.3013 1
Cr1 Cr 0.3750 0.3750 0.3750 1
Cr2 Cr 0.6250 0.6250 0.6250 1
Cu1 Cu 0.1250 0.1250 0.1250 1
Cu2 Cu 0.8750 0.8750 0.8750 1
S1 S 0.0075 0.6432 0.5665 1
S2 S 0.2828 0.5665 0.6432 1
S3 S 0.3568 0.9925 0.7172 1
S4 S 0.4335 0.7172 0.9925 1
S5 S 0.5665 0.2828 0.0075 1
S6 S 0.6432 0.0075 0.2828 1
S7 S 0.7172 0.4335 0.3568 1
S8 S 0.9925 0.3568 0.4335 1
```

Largest 10 diffraction maxima, by intensity, 2θ = 10–90°:
25.01°, I 100
27.15°, I 71
25.14°, I 54
30.83°, I 53
20.42°, I 43
39.44°, I 34
35.05°, I 31
47.35°, I 29
44.21°, I 26
51.01°, I 25

=====

3.
The following is a simulated powder XRD pattern of PrB4Pt3O12. It was derived from a DFT-relaxed cell (PBE, Alexandria), using λ = 1.5418 Å (Cu Kα).
Neutral-atom scattering factors, no anomalous dispersion.

Crystal structure
```
data_PrB4Pt3O12
_space_group_name_H-M_alt 'P 1'
_space_group_IT_number 1
_space_group_name_Hall 'P 1'
_cell_length_a 6.2968
_cell_length_b 6.2968
_cell_length_c 6.2968
_cell_angle_alpha 102.41
_cell_angle_beta 102.41
_cell_angle_gamma 102.41
loop_
_atom_site_label
_atom_site_type_symbol
_atom_site_fract_x
_atom_site_fract_y
_atom_site_fract_z
_atom_site_occupancy
Pr1 Pr 0.0000 0.0000 0.0000 1
B1 B 0.0503 0.5000 0.9497 1
B2 B 0.5000 0.5000 0.5000 1
B3 B 0.5000 0.9497 0.0503 1
B4 B 0.9497 0.0503 0.5000 1
Pt1 Pt 0.0000 0.5464 0.4536 1
Pt2 Pt 0.4536 0.0000 0.5464 1
Pt3 Pt 0.5464 0.4536 0.0000 1
O1 O 0.0288 0.6333 0.8055 1
O2 O 0.0944 0.9056 0.5000 1
O3 O 0.1945 0.3667 0.9712 1
O4 O 0.3586 0.6414 0.5000 1
O5 O 0.3667 0.9712 0.1945 1
O6 O 0.5000 0.0944 0.9056 1
O7 O 0.5000 0.3586 0.6414 1
O8 O 0.6333 0.8055 0.0288 1
O9 O 0.6414 0.5000 0.3586 1
O10 O 0.8055 0.0288 0.6333 1
O11 O 0.9056 0.5000 0.0944 1
O12 O 0.9712 0.1945 0.3667 1
```

Largest 10 diffraction maxima, by intensity, 2θ = 10–90°:
23.56°, I 100
30.22°, I 85
49.15°, I 28
49.84°, I 27
18.08°, I 26
44.27°, I 26
36.62°, I 25
60.23°, I 19
29.85°, I 18
39.77°, I 14